Entry 1:
Diffraction record for PrNp. The XRD peak list is computed, not measured: it uses a structure optimized by DFT (PBE) and a wavelength of 1.5418 Å.
Lines closer than 0.1° are merged.

Structure:
```
data_PrNp
_chemical_formula_sum 'Pr1 Np1'
_space_group_name_H-M_alt 'P -6 m 2'
_space_group_IT_number 187
_space_group_name_Hall 'P -6 2'
_cell_length_a 3.4001
_cell_length_b 3.4001
_cell_length_c 5.9397
_cell_angle_alpha 90.00
_cell_angle_beta 90.00
_cell_angle_gamma 120.00
loop_
_atom_site_label
_atom_site_type_symbol
_atom_site_fract_x
_atom_site_fract_y
_atom_site_fract_z
Pr1 Pr 0.0000 0.0000 0.0000
Np1 Np 0.3333 0.6667 0.5000
```

Peak list (12 most intense, 2θ = 10–90°, most intense first)
- 2θ 34.0, rel. 1000, hkl 1 0 1
- 2θ 30.1, rel. 299, hkl 0 0 2
- 2θ 30.4, rel. 256, hkl 1 0 0
- 2θ 56.0, rel. 246, hkl 1 0 3
- 2θ 63.0, rel. 226, hkl 1 1 2
- 2θ 43.3, rel. 199, hkl 1 0 2
- 2θ 53.9, rel. 179, hkl 1 1 0
- 2θ 65.3, rel. 155, hkl 2 0 1
- 2θ 89.6, rel. 140, hkl 2 1 1
- 2θ 87.2, rel. 96, hkl 1 1 4
- 2θ 81.5, rel. 85, hkl 2 0 3
- 2θ 14.9, rel. 82, hkl 0 0 1


Entry 2:
Diffraction record for PmAs2O. The XRD peak list is computed, not measured: it uses a structure optimized by DFT (PBE) and a wavelength of 1.5418 Å.
Lines closer than 0.1° are merged.

Structure:
```
data_PmAs2O
_chemical_formula_sum 'Pm2 As4 O2'
_space_group_name_H-M_alt 'P 4/n m m'
_space_group_IT_number 129
_cell_length_a 4.337
_cell_length_b 4.337
_cell_length_c 8.477
_cell_angle_alpha 90.00
_cell_angle_beta 90.00
_cell_angle_gamma 90.00
loop_
_space_group_symop_operation_xyz
'x,y,z'
'-x,-y,-z'
'-y+1/2,x,z'
'y+1/2,-x,-z'
'-x+1/2,-y+1/2,z'
'x+1/2,y+1/2,-z'
'y,-x+1/2,z'
'-y,x+1/2,-z'
'x+1/2,-y,-z'
'-x+1/2,y,z'
'-y,-x,-z'
'y,x,z'
'-x,y+1/2,-z'
'x,-y+1/2,z'
'y+1/2,x+1/2,-z'
'-y+1/2,-x+1/2,z'
loop_
_atom_site_label
_atom_site_type_symbol
_atom_site_fract_x
_atom_site_fract_y
_atom_site_fract_z
Pm1 Pm 0.250 0.250 0.115
As1 As 0.250 0.250 0.679
As2 As 0.250 0.750 0.500
O1 O 0.250 0.750 0.000
```

Peak list (12 most intense, 2θ = 10–90°, most intense first)
- 2θ 29.5, rel. 1000, hkl 1 0 2
- 2θ 41.7, rel. 462, hkl 2 0 0
- 2θ 51.8, rel. 412, hkl 2 1 2
- 2θ 31.0, rel. 386, hkl 1 1 1
- 2θ 52.5, rel. 293, hkl 1 1 4
- 2θ 38.0, rel. 230, hkl 1 0 3
- 2θ 36.2, rel. 211, hkl 1 1 2
- 2θ 29.1, rel. 203, hkl 1 1 0
- 2θ 60.4, rel. 151, hkl 2 2 0
- 2θ 84.1, rel. 148, hkl 3 1 4
- 2θ 57.6, rel. 136, hkl 2 1 3
- 2θ 70.5, rel. 126, hkl 2 0 5


Entry 3:
Diffraction record for Pr3Ni2Ge4Pd2. The XRD peak list is computed, not measured: it uses a structure optimized by DFT (PBE) and a wavelength of 1.5418 Å.
Lines closer than 0.1° are merged.

Structure:
```
data_Pr3Ni2Ge4Pd2
_chemical_formula_sum 'Pr6 Ni4 Ge8 Pd4'
_space_group_name_H-M_alt 'I m m m'
_space_group_IT_number 71
_space_group_name_Hall '-I 2 2'
_cell_length_a 4.145
_cell_length_b 4.326
_cell_length_c 24.774
_cell_angle_alpha 90.00
_cell_angle_beta 90.00
_cell_angle_gamma 90.00
loop_
_atom_site_label
_atom_site_type_symbol
_atom_site_fract_x
_atom_site_fract_y
_atom_site_fract_z
Pr1 Pr 0.000 0.000 0.000
Pr2 Pr 0.000 0.500 0.153
Ni1 Ni 0.000 0.000 0.250
Ge1 Ge 0.000 0.000 0.449
Ge2 Ge 0.000 0.500 0.297
Pd1 Pd 0.000 0.500 0.400
```

Peak list (12 most intense, 2θ = 10–90°, most intense first)
- 2θ 33.3, rel. 1000, hkl 1 0 7
- 2θ 38.8, rel. 269, hkl 0 1 9
- 2θ 41.8, rel. 232, hkl 0 2 0
- 2θ 43.7, rel. 203, hkl 2 0 0
- 2θ 54.4, rel. 173, hkl 1 2 7
- 2θ 30.7, rel. 155, hkl 1 1 2
- 2θ 59.8, rel. 150, hkl 2 1 9
- 2θ 62.0, rel. 140, hkl 2 2 0
- 2θ 45.4, rel. 109, hkl 0 1 11
- 2θ 68.2, rel. 106, hkl 1 1 16
- 2θ 73.6, rel. 97, hkl 3 0 7
- 2θ 52.9, rel. 93, hkl 1 0 13


Entry 4:
Diffraction record for Pr2Ag2GePb. The XRD peak list is computed, not measured: it uses a structure optimized by DFT (PBE) and a wavelength of 1.5418 Å.
Lines closer than 0.1° are merged.

Structure:
```
data_Pr2Ag2GePb
_chemical_formula_sum 'Pr2 Ag2 Ge1 Pb1'
_space_group_name_H-M_alt 'P 3 m 1'
_space_group_IT_number 156
_space_group_name_Hall 'P 3 -2"'
_cell_length_a 4.7720
_cell_length_b 4.7720
_cell_length_c 7.7089
_cell_angle_alpha 90.00
_cell_angle_beta 90.00
_cell_angle_gamma 120.00
loop_
_atom_site_label
_atom_site_type_symbol
_atom_site_fract_x
_atom_site_fract_y
_atom_site_fract_z
Pr1 Pr 0.0000 0.0000 0.0000
Pr2 Pr 0.0000 0.0000 0.4816
Ag1 Ag 0.3333 0.6667 0.2105
Ag2 Ag 0.6667 0.3333 0.6829
Ge1 Ge 0.6667 0.3333 0.2802
Pb1 Pb 0.3333 0.6667 0.7755
```

Peak list (12 most intense, 2θ = 10–90°, most intense first)
- 2θ 31.7, rel. 1000, hkl 1 0 2
- 2θ 37.7, rel. 720, hkl 1 1 0
- 2θ 50.1, rel. 278, hkl 0 2 2
- 2θ 64.4, rel. 261, hkl 2 1 2
- 2θ 61.9, rel. 160, hkl 1 1 4
- 2θ 41.4, rel. 159, hkl 0 1 3
- 2θ 24.4, rel. 139, hkl 1 0 1
- 2θ 68.1, rel. 125, hkl 3 0 0
- 2θ 89.1, rel. 112, hkl 1 3 2
- 2θ 80.5, rel. 79, hkl 2 2 0
- 2θ 64.5, rel. 78, hkl 1 0 5
- 2θ 89.3, rel. 68, hkl 2 1 5


Entry 5:
Diffraction record for TlCdFeCo. The XRD peak list is computed, not measured: it uses a structure optimized by DFT (PBE) and a wavelength of 1.5418 Å.
Lines closer than 0.1° are merged.

Structure:
```
data_TlCdFeCo
_chemical_formula_sum 'Tl4 Cd4 Fe4 Co4'
_space_group_name_H-M_alt 'F -4 3 m'
_space_group_IT_number 216
_space_group_name_Hall 'F -4 2 3'
_cell_length_a 6.401
_cell_length_b 6.401
_cell_length_c 6.401
_cell_angle_alpha 90.00
_cell_angle_beta 90.00
_cell_angle_gamma 90.00
loop_
_atom_site_label
_atom_site_type_symbol
_atom_site_fract_x
_atom_site_fract_y
_atom_site_fract_z
Tl1 Tl 0.000 0.000 0.000
Cd1 Cd 0.000 0.000 0.500
Fe1 Fe 0.250 0.250 0.750
Co1 Co 0.250 0.250 0.250
```

Peak list (11 most intense, 2θ = 10–90°, most intense first)
- 2θ 39.8, rel. 1000, hkl 2 2 0
- 2θ 72.3, rel. 329, hkl 4 2 2
- 2θ 27.9, rel. 249, hkl 2 0 0
- 2θ 57.6, rel. 165, hkl 4 0 0
- 2θ 85.9, rel. 106, hkl 4 4 0
- 2θ 65.2, rel. 99, hkl 4 2 0
- 2θ 24.1, rel. 89, hkl 1 1 1
- 2θ 49.3, rel. 73, hkl 2 2 2
- 2θ 47.1, rel. 50, hkl 3 1 1
- 2θ 63.3, rel. 23, hkl 3 3 1
- 2θ 77.5, rel. 18, hkl 5 1 1


Entry 6:
Diffraction record for SmErC2I2. The XRD peak list is computed, not measured: it uses a structure optimized by DFT (PBE) and a wavelength of 1.5418 Å.
Lines closer than 0.1° are merged.

Structure:
```
data_SmErC2I2
_chemical_formula_sum 'Sm2 Er2 C4 I4'
_space_group_name_H-M_alt 'C 1 m 1'
_space_group_IT_number 8
_space_group_name_Hall 'C -2y'
_cell_length_a 7.373
_cell_length_b 3.928
_cell_length_c 11.341
_cell_angle_alpha 90.00
_cell_angle_beta 93.23
_cell_angle_gamma 90.00
loop_
_atom_site_label
_atom_site_type_symbol
_atom_site_fract_x
_atom_site_fract_y
_atom_site_fract_z
Sm1 Sm 0.000 0.000 0.000
Er1 Er 0.209 0.500 0.755
C1 C 0.278 0.000 0.898
C2 C 0.433 0.000 0.843
I1 I 0.033 0.000 0.572
I2 I 0.181 0.500 0.191
```

Peak list (12 most intense, 2θ = 10–90°, most intense first)
- 2θ 30.6, rel. 1000, hkl 1 1 2
- 2θ 28.2, rel. 760, hkl 2 0 -2
- 2θ 25.7, rel. 501, hkl 1 1 0
- 2θ 43.5, rel. 441, hkl 3 1 0
- 2θ 29.9, rel. 410, hkl 1 1 -2
- 2θ 40.6, rel. 294, hkl 1 1 -4
- 2θ 35.6, rel. 289, hkl 1 1 3
- 2θ 15.7, rel. 234, hkl 0 0 2
- 2θ 55.0, rel. 231, hkl 2 2 -2
- 2θ 46.2, rel. 217, hkl 0 2 0
- 2θ 29.7, rel. 214, hkl 2 0 2
- 2θ 39.8, rel. 211, hkl 0 0 5


Entry 7:
Diffraction record for Nb2CS. The XRD peak list is computed, not measured: it uses a structure optimized by DFT (PBE) and a wavelength of 1.5418 Å.
Lines closer than 0.1° are merged.

Structure:
```
data_Nb2CS
_chemical_formula_sum 'Nb36 C18 S18'
_space_group_name_H-M_alt 'R -3 c'
_space_group_IT_number 167
_space_group_name_Hall '-R 3 2"c'
_cell_length_a 5.7353
_cell_length_b 5.7353
_cell_length_c 35.2308
_cell_angle_alpha 90.00
_cell_angle_beta 90.00
_cell_angle_gamma 120.00
loop_
_atom_site_label
_atom_site_type_symbol
_atom_site_fract_x
_atom_site_fract_y
_atom_site_fract_z
Nb1 Nb 0.0003 0.3329 0.0317
C1 C 0.0000 0.0000 0.0000
C2 C 0.0000 0.0000 0.1667
S1 S 0.0003 0.3333 0.5833
```

Peak list (12 most intense, 2θ = 10–90°, most intense first)
- 2θ 38.9, rel. 1000, hkl 1 1 9
- 2θ 31.2, rel. 264, hkl 1 1 0
- 2θ 55.5, rel. 257, hkl 3 0 0
- 2θ 32.1, rel. 197, hkl 1 1 3
- 2θ 69.9, rel. 168, hkl 2 2 9
- 2θ 75.2, rel. 147, hkl 3 0 18
- 2θ 15.1, rel. 113, hkl 0 0 6
- 2θ 57.0, rel. 108, hkl 1 1 18
- 2θ 46.4, rel. 105, hkl 0 0 18
- 2θ 30.4, rel. 83, hkl 0 0 12
- 2θ 64.3, rel. 83, hkl 1 1 21
- 2θ 44.1, rel. 78, hkl 1 1 12


Entry 8:
Diffraction record for BeNb4Ga. The XRD peak list is computed, not measured: it uses a structure optimized by DFT (PBE) and a wavelength of 1.5418 Å.
Lines closer than 0.1° are merged.

Structure:
```
data_BeNb4Ga
_chemical_formula_sum 'Be2 Nb8 Ga2'
_space_group_name_H-M_alt 'P 4/m c c'
_space_group_IT_number 124
_space_group_name_Hall '-P 4 2c'
_cell_length_a 6.145
_cell_length_b 6.145
_cell_length_c 5.119
_cell_angle_alpha 90.00
_cell_angle_beta 90.00
_cell_angle_gamma 90.00
loop_
_atom_site_label
_atom_site_type_symbol
_atom_site_fract_x
_atom_site_fract_y
_atom_site_fract_z
Be1 Be 0.000 0.000 0.250
Nb1 Nb 0.141 0.326 0.000
Ga1 Ga 0.500 0.500 0.250
```

Peak list (12 most intense, 2θ = 10–90°, most intense first)
- 2θ 37.1, rel. 1000, hkl 2 1 1
- 2θ 46.7, rel. 238, hkl 3 1 0
- 2θ 64.3, rel. 230, hkl 2 1 3
- 2θ 46.2, rel. 169, hkl 2 0 2
- 2θ 40.9, rel. 166, hkl 1 1 2
- 2θ 35.1, rel. 163, hkl 0 0 2
- 2θ 32.6, rel. 126, hkl 2 1 0
- 2θ 75.4, rel. 124, hkl 3 3 2
- 2θ 65.2, rel. 95, hkl 4 1 1
- 2θ 71.6, rel. 84, hkl 4 0 2
- 2θ 87.6, rel. 80, hkl 5 2 1
- 2θ 38.1, rel. 58, hkl 1 0 2


Entry 9:
Diffraction record for Hf2ZrAl3PtAu2. The XRD peak list is computed, not measured: it uses a structure optimized by DFT (PBE) and a wavelength of 1.5418 Å.
Lines closer than 0.1° are merged.

Structure:
```
data_Hf2ZrAl3PtAu2
_chemical_formula_sum 'Hf4 Zr2 Al6 Pt2 Au4'
_space_group_name_H-M_alt 'A m m 2'
_space_group_IT_number 38
_space_group_name_Hall 'A 2 -2'
_cell_length_a 4.107
_cell_length_b 11.821
_cell_length_c 6.758
_cell_angle_alpha 90.00
_cell_angle_beta 90.00
_cell_angle_gamma 90.00
loop_
_atom_site_label
_atom_site_type_symbol
_atom_site_fract_x
_atom_site_fract_y
_atom_site_fract_z
Hf1 Hf 0.000 0.205 0.000
Zr1 Zr 0.000 0.000 0.382
Al1 Al 0.500 0.000 0.041
Al2 Al 0.500 0.121 0.671
Pt1 Pt 0.000 0.000 0.800
Au1 Au 0.500 0.169 0.293
```

Peak list (12 most intense, 2θ = 10–90°, most intense first)
- 2θ 37.7, rel. 1000, hkl 1 2 2
- 2θ 34.2, rel. 567, hkl 1 3 1
- 2θ 26.2, rel. 554, hkl 0 3 1
- 2θ 46.4, rel. 474, hkl 0 3 3
- 2θ 26.5, rel. 442, hkl 1 1 1
- 2θ 37.5, rel. 391, hkl 1 4 0
- 2θ 44.1, rel. 382, hkl 2 0 0
- 2θ 34.4, rel. 377, hkl 1 0 2
- 2θ 46.3, rel. 291, hkl 1 5 1
- 2θ 66.0, rel. 253, hkl 2 3 3
- 2θ 26.4, rel. 239, hkl 0 0 2
- 2θ 52.0, rel. 178, hkl 2 3 1


Entry 10:
Diffraction record for PaCl2O. The XRD peak list is computed, not measured: it uses a structure optimized by DFT (PBE) and a wavelength of 1.5418 Å.
Lines closer than 0.1° are merged.

Structure:
```
data_PaCl2O
_chemical_formula_sum 'Pa4 Cl8 O4'
_space_group_name_H-M_alt 'C 1 2 1'
_space_group_IT_number 5
_space_group_name_Hall 'C 2y'
_cell_length_a 13.143
_cell_length_b 4.296
_cell_length_c 8.472
_cell_angle_alpha 90.00
_cell_angle_beta 109.77
_cell_angle_gamma 90.00
loop_
_atom_site_label
_atom_site_type_symbol
_atom_site_fract_x
_atom_site_fract_y
_atom_site_fract_z
Pa1 Pa 0.001 0.000 0.251
Cl1 Cl 0.147 0.999 0.076
Cl2 Cl 0.149 0.002 0.579
O1 O 0.001 0.500 0.255
```

Peak list (12 most intense, 2θ = 10–90°, most intense first)
- 2θ 21.9, rel. 1000, hkl 1 1 0
- 2θ 14.3, rel. 997, hkl 2 0 0
- 2θ 30.0, rel. 488, hkl 4 0 -2
- 2θ 30.5, rel. 338, hkl 2 0 2
- 2θ 42.1, rel. 330, hkl 3 1 2
- 2θ 33.2, rel. 300, hkl 1 1 2
- 2θ 22.3, rel. 299, hkl 0 0 2
- 2θ 32.9, rel. 291, hkl 3 1 -2
- 2θ 22.1, rel. 290, hkl 2 0 -2
- 2θ 42.0, rel. 232, hkl 0 2 0
- 2θ 41.6, rel. 219, hkl 5 1 -2
- 2θ 42.7, rel. 217, hkl 2 0 -4


Entry 11:
Diffraction record for TbHoIn4Cu2. The XRD peak list is computed, not measured: it uses a structure optimized by DFT (PBE) and a wavelength of 1.5418 Å.
Lines closer than 0.1° are merged.

Structure:
```
data_TbHoIn4Cu2
_chemical_formula_sum 'Tb2 Ho2 In8 Cu4'
_space_group_name_H-M_alt 'A m m 2'
_space_group_IT_number 38
_space_group_name_Hall 'A 2 -2'
_cell_length_a 7.336
_cell_length_b 4.402
_cell_length_c 10.715
_cell_angle_alpha 90.00
_cell_angle_beta 90.00
_cell_angle_gamma 90.00
loop_
_atom_site_label
_atom_site_type_symbol
_atom_site_fract_x
_atom_site_fract_y
_atom_site_fract_z
Tb1 Tb 0.000 0.000 0.000
Ho1 Ho 0.500 0.000 0.857
In1 In 0.202 0.000 0.291
In2 In 0.298 0.000 0.566
Cu1 Cu 0.000 0.000 0.717
Cu2 Cu 0.500 0.000 0.140
```

Peak list (12 most intense, 2θ = 10–90°, most intense first)
- 2θ 32.9, rel. 1000, hkl 2 1 1
- 2θ 34.6, rel. 635, hkl 1 1 3
- 2θ 41.0, rel. 355, hkl 0 2 0
- 2θ 35.7, rel. 270, hkl 1 0 4
- 2θ 40.6, rel. 258, hkl 3 0 2
- 2θ 32.3, rel. 229, hkl 0 1 3
- 2θ 40.8, rel. 204, hkl 2 1 3
- 2θ 72.9, rel. 195, hkl 5 1 3
- 2θ 64.4, rel. 175, hkl 0 1 7
- 2θ 59.0, rel. 169, hkl 3 2 2
- 2θ 61.2, rel. 153, hkl 3 1 5
- 2θ 55.5, rel. 149, hkl 1 2 4


Entry 12:
Diffraction record for Gd2HoNiIr2Pb3. The XRD peak list is computed, not measured: it uses a structure optimized by DFT (PBE) and a wavelength of 1.5418 Å.
Lines closer than 0.1° are merged.

Structure:
```
data_Gd2HoNiIr2Pb3
_chemical_formula_sum 'Gd4 Ho2 Ni2 Ir4 Pb6'
_space_group_name_H-M_alt 'A m m 2'
_space_group_IT_number 38
_space_group_name_Hall 'A 2 -2'
_cell_length_a 3.783
_cell_length_b 13.439
_cell_length_c 7.776
_cell_angle_alpha 90.00
_cell_angle_beta 90.00
_cell_angle_gamma 90.00
loop_
_atom_site_label
_atom_site_type_symbol
_atom_site_fract_x
_atom_site_fract_y
_atom_site_fract_z
Gd1 Gd 0.000 0.205 0.000
Ho1 Ho 0.000 0.000 0.386
Ni1 Ni 0.000 0.000 0.794
Ir1 Ir 0.500 0.165 0.296
Pb1 Pb 0.500 0.000 0.052
Pb2 Pb 0.500 0.128 0.667
```

Peak list (12 most intense, 2θ = 10–90°, most intense first)
- 2θ 33.1, rel. 1000, hkl 1 3 1
- 2θ 35.7, rel. 722, hkl 1 4 0
- 2θ 35.3, rel. 660, hkl 0 1 3
- 2θ 40.2, rel. 376, hkl 0 6 0
- 2θ 42.9, rel. 298, hkl 1 4 2
- 2θ 61.1, rel. 278, hkl 2 1 3
- 2θ 65.3, rel. 221, hkl 1 7 3
- 2θ 48.1, rel. 220, hkl 2 0 0
- 2θ 64.5, rel. 189, hkl 2 6 0
- 2θ 23.5, rel. 124, hkl 1 0 0
- 2θ 54.9, rel. 107, hkl 1 5 3
- 2θ 65.4, rel. 103, hkl 1 8 2


Entry 13:
Diffraction record for La2ErMg3Pt2Au. The XRD peak list is computed, not measured: it uses a structure optimized by DFT (PBE) and a wavelength of 1.5418 Å.
Lines closer than 0.1° are merged.

Structure:
```
data_La2ErMg3Pt2Au
_chemical_formula_sum 'La4 Er2 Mg6 Pt4 Au2'
_space_group_name_H-M_alt 'A m m 2'
_space_group_IT_number 38
_space_group_name_Hall 'A 2 -2'
_cell_length_a 4.122
_cell_length_b 13.152
_cell_length_c 7.589
_cell_angle_alpha 90.00
_cell_angle_beta 90.00
_cell_angle_gamma 90.00
loop_
_atom_site_label
_atom_site_type_symbol
_atom_site_fract_x
_atom_site_fract_y
_atom_site_fract_z
La1 La 0.000 0.210 0.000
Er1 Er 0.000 0.000 0.625
Mg1 Mg 0.500 0.000 0.959
Mg2 Mg 0.500 0.120 0.336
Pt1 Pt 0.500 0.160 0.706
Au1 Au 0.000 0.000 0.219
```

Peak list (12 most intense, 2θ = 10–90°, most intense first)
- 2θ 34.9, rel. 1000, hkl 1 4 0
- 2θ 32.1, rel. 535, hkl 1 3 1
- 2θ 23.4, rel. 503, hkl 0 0 2
- 2θ 42.5, rel. 356, hkl 1 4 2
- 2θ 41.2, rel. 337, hkl 0 3 3
- 2θ 25.5, rel. 279, hkl 1 2 0
- 2θ 66.0, rel. 237, hkl 1 7 3
- 2θ 43.9, rel. 210, hkl 2 0 0
- 2θ 61.8, rel. 206, hkl 2 3 3
- 2θ 47.9, rel. 167, hkl 0 6 2
- 2θ 55.1, rel. 165, hkl 1 7 1
- 2θ 27.1, rel. 149, hkl 0 2 2


Entry 14:
Diffraction record for Dy2HoAl7Cu2. The XRD peak list is computed, not measured: it uses a structure optimized by DFT (PBE) and a wavelength of 1.5418 Å.
Lines closer than 0.1° are merged.

Structure:
```
data_Dy2HoAl7Cu2
_chemical_formula_sum 'Dy6 Ho3 Al21 Cu6'
_space_group_name_H-M_alt 'R -3 m'
_space_group_IT_number 166
_space_group_name_Hall '-R 3 2"'
_cell_length_a 5.4779
_cell_length_b 5.4779
_cell_length_c 25.4168
_cell_angle_alpha 90.00
_cell_angle_beta 90.00
_cell_angle_gamma 120.00
loop_
_atom_site_label
_atom_site_type_symbol
_atom_site_fract_x
_atom_site_fract_y
_atom_site_fract_z
Dy1 Dy 0.0000 0.0000 0.1419
Ho1 Ho 0.0000 0.0000 0.0000
Al1 Al 0.0000 0.0000 0.5000
Al2 Al 0.0063 0.5032 0.9213
Cu1 Cu 0.0000 0.0000 0.3353
```

Peak list (12 most intense, 2θ = 10–90°, most intense first)
- 2θ 39.2, rel. 1000, hkl 1 1 6
- 2θ 32.7, rel. 886, hkl 1 1 0
- 2θ 31.0, rel. 520, hkl 1 0 7
- 2θ 19.0, rel. 439, hkl 1 0 1
- 2θ 34.0, rel. 333, hkl 0 1 8
- 2θ 21.0, rel. 316, hkl 0 0 6
- 2θ 38.1, rel. 275, hkl 0 2 1
- 2θ 64.7, rel. 274, hkl 2 0 14
- 2θ 62.7, rel. 245, hkl 3 0 6
- 2θ 57.3, rel. 190, hkl 2 1 7
- 2θ 68.5, rel. 188, hkl 2 2 0
- 2θ 54.1, rel. 168, hkl 0 0 15